# 1
Sr2Cd7Ag: computed X-ray diffraction stick pattern (Cu Kα, 1.54184 Å), based on a cell relaxed with PBE.
Neutral-atom scattering factors, no anomalous dispersion.

Crystal structure
Cell lengths 4.579, 4.579, 12.892 Å; angles 90.00, 90.00, 90.00 degrees
Space group P-4m2 (No. 115)
Unique sites:
Sr  0.000  0.500  0.247
Cd  0.000  0.000  0.000
Cd  0.000  0.000  0.500
Cd  0.000  0.500  0.643
Cd  0.000  0.500  0.863
Cd  0.500  0.500  0.500
Ag  0.500  0.500  0.000

The 12 most intense peaks (10° ≤ 2θ ≤ 80°), in order of falling intensity:
2.287 Å, 2θ = 39.4°, I = 100.0, (2 0 0); 2.894 Å, 2θ = 30.9°, I = 92.7, (1 1 2); 3.134 Å, 2θ = 28.5°, I = 34.5, (1 0 3); 2.247 Å, 2θ = 40.1°, I = 32.4, (1 0 5); 1.604 Å, 2θ = 57.5°, I = 21.8, (2 1 5); 1.413 Å, 2θ = 66.1°, I = 19.5, (3 1 2); 1.619 Å, 2θ = 56.9°, I = 17.9, (2 2 0); 4.315 Å, 2θ = 20.6°, I = 15.6, (1 0 1); 1.849 Å, 2θ = 49.3°, I = 14.7, (2 1 3); 1.321 Å, 2θ = 71.4°, I = 14.4, (3 1 4); 1.318 Å, 2θ = 71.6°, I = 13.5, (2 0 8); 6.446 Å, 2θ = 13.7°, I = 11.4, (0 0 2)


# 2
Sr2Cd10Ag: computed X-ray diffraction stick pattern (Cu Kα, 1.54184 Å), based on a cell relaxed with PBE.
Neutral-atom scattering factors, no anomalous dispersion.

Crystal structure
Cell lengths 10.371, 12.334, 6.167 Å; angles 90.00, 90.00, 90.00 degrees
Space group Pbam (No. 55)
Unique sites:
Sr  0.138  0.131  0.000
Cd  0.039  0.886  0.500
Cd  0.067  0.683  0.234
Cd  0.188  0.307  0.500
Cd  0.239  0.049  0.500
Ag  0.000  0.500  0.500

The 12 most intense peaks (10° ≤ 2θ ≤ 80°), in order of falling intensity:
6.167 Å, 2θ = 14.4°, I = 100.0, (0 0 1); 2.400 Å, 2θ = 37.5°, I = 77.2, (1 5 0); 2.432 Å, 2θ = 37.0°, I = 46.4, (3 3 1); 2.537 Å, 2θ = 35.4°, I = 41.2, (4 1 0); 2.591 Å, 2θ = 34.6°, I = 38.1, (2 1 2); 2.665 Å, 2θ = 33.6°, I = 29.3, (1 4 1); 2.301 Å, 2θ = 39.1°, I = 28.9, (3 4 0); 2.390 Å, 2θ = 37.6°, I = 27.6, (4 0 1); 2.134 Å, 2θ = 42.4°, I = 24.4, (1 4 2); 2.156 Å, 2θ = 41.9°, I = 21.7, (3 2 2); 5.301 Å, 2θ = 16.7°, I = 18.1, (1 2 0); 4.020 Å, 2θ = 22.1°, I = 18.1, (1 2 1)


# 3
Sr3Cd4Ag4: computed X-ray diffraction stick pattern (Cu Kα, 1.54184 Å), based on a cell relaxed with PBE.
Neutral-atom scattering factors, no anomalous dispersion.

Crystal structure
Cell lengths 4.155, 4.828, 15.322 Å; angles 98.77, 97.76, 90.07 degrees
Space group P-1 (No. 2)
Unique sites:
Sr  0.000  0.000  0.000
Sr  0.144  0.644  0.289
Cd  0.255  0.256  0.512
Cd  0.404  0.905  0.810
Ag  0.313  0.811  0.623
Ag  0.452  0.452  0.906

The 12 most intense peaks (10° ≤ 2θ ≤ 80°), in order of falling intensity:
2.905 Å, 2θ = 30.8°, I = 100.0, (1 -1 2); 2.414 Å, 2θ = 37.2°, I = 58.1, (0 2 -1); 2.983 Å, 2θ = 30.0°, I = 58.0, (1 0 -4); 2.078 Å, 2θ = 43.6°, I = 36.6, (2 0 -1); 2.380 Å, 2θ = 37.8°, I = 35.7, (0 1 5); 2.370 Å, 2θ = 38.0°, I = 35.1, (0 1 -6); 2.899 Å, 2θ = 30.8°, I = 33.3, (1 1 -3); 4.116 Å, 2θ = 21.6°, I = 28.9, (1 0 -1); 1.575 Å, 2θ = 58.6°, I = 26.8, (2 2 -2); 2.176 Å, 2θ = 41.5°, I = 18.4, (1 1 4); 1.564 Å, 2θ = 59.1°, I = 18.2, (2 -1 5); 2.169 Å, 2θ = 41.6°, I = 18.0, (1 1 -6)